No. 1
Structure and computed powder X-ray diffraction pattern of CdHg7 (a DFT-relaxed cell (GGA-PBE, Alexandria); λ = 1.5418 Å (Cu Kα)).
Peak positions follow from Bragg's law for the DFT cell and can differ from measured ones.

```
CdHg7
1.0
-2.7032 2.7032 7.2655
2.7032 -2.7032 7.2655
2.7032 2.7032 -7.2655
Cd Hg
1 7
Direct
0.0000 0.0000 0.0000
0.1222 0.6222 0.5000
0.2486 0.2486 0.0000
0.3778 0.8778 0.5000
0.5000 0.5000 0.0000
0.6222 0.1222 0.5000
0.7514 0.7514 0.0000
0.8778 0.3778 0.5000
```

Most intense lines, 15 to 90 degrees two-theta, low angle first:
2θ/deg  Rel. int.
33.14  54
34.04  100
47.57  20
50.23  8
59.78  40
61.51  18
71.68  12
79.24  9
79.75  9
83.80  8

***

No. 2
Structure and computed powder X-ray diffraction pattern of Cs2H3F6 (a DFT-relaxed cell (GGA-PBE, Alexandria); λ = 1.5418 Å (Cu Kα)).
Peak positions follow from Bragg's law for the DFT cell and can differ from measured ones.

```
Cs2H3F6
1.0
7.0659 -4.0881 0.0000
7.0659 4.0881 0.0000
-4.7640 0.0000 10.6766
Cs H F
4 6 12
Direct
0.1580 0.6580 0.9730
0.3420 0.8420 0.5270
0.6580 0.1580 0.4730
0.8420 0.3420 0.0270
0.0298 0.9702 0.7500
0.2510 0.4688 0.2488
0.4688 0.2510 0.7488
0.5312 0.7490 0.2512
0.7490 0.5312 0.7512
0.9702 0.0298 0.2500
0.0249 0.9664 0.6500
0.0336 0.9751 0.8500
0.1611 0.4643 0.1486
0.3413 0.4743 0.3497
0.4643 0.1611 0.6486
0.4743 0.3413 0.8497
0.5257 0.6587 0.1503
0.5357 0.8389 0.3514
0.6587 0.5257 0.6503
0.8389 0.5357 0.8514
0.9664 0.0249 0.1500
0.9751 0.0336 0.3500
```

Most intense lines, 15 to 90 degrees two-theta, low angle first:
2θ/deg  Rel. int.
16.64  70
16.74  59
21.76  68
27.48  100
27.58  50
30.64  29
35.40  36
38.17  37
40.32  24
41.87  25